Computed powder X-ray diffraction pattern
Compound: CdP2O6
Radiation: Cu Kα (weighted mean of Kα1 and Kα2)
Structure: a crystal structure in the Materials Project, relaxed with PBE
No peak broadening, texture or thermal motion is included.

Atomic structure:
Unit cell a=12.567 b=8.782 c=10.602 alpha=90.00 beta=119.39 gamma=90.00
Space group C2/c (No. 15)
Asymmetric unit:
Cd: 0.000 0.035 0.250 (multiplicity 4)
Cd: 0.250 0.250 0.500 (multiplicity 4)
P: 0.010 0.271 0.979 (multiplicity 8)
P: 0.188 0.499 0.191 (multiplicity 8)
O: 0.042 0.241 0.420 (multiplicity 8)
O: 0.048 0.140 0.922 (multiplicity 8)
O: 0.086 0.372 0.657 (multiplicity 8)
O: 0.124 0.385 0.055 (multiplicity 8)
O: 0.208 0.072 0.323 (multiplicity 8)
O: 0.218 0.426 0.330 (multiplicity 8)

Peak list (10 most intense, 10° ≤ 2θ ≤ 90°, low angle first)
| (hkl) | 2θ/deg | I_rel |
| --- | --- | --- |
| 1 1 -1 | 13.52 | 71 |
| 1 1 1 | 18.34 | 22 |
| 1 1 -2 | 19.61 | 50 |
| 3 1 -1 | 23.65 | 22 |
| 3 1 -2 | 24.65 | 31 |
| 3 1 0 | 26.45 | 33 |
| 0 2 2 | 28.04 | 100 |
| 3 1 -3 | 29.10 | 24 |
| 4 0 0 | 32.72 | 23 |
| 4 2 -2 | 35.29 | 33 |

---

Computed powder X-ray diffraction pattern
Compound: Lu3Ge13Os4
Radiation: Cu Kα (weighted mean of Kα1 and Kα2)
Structure: a crystal structure in the Materials Project, relaxed with PBE
No peak broadening, texture or thermal motion is included.

Atomic structure:
Unit cell a=9.016 b=9.016 c=9.016 alpha=90.00 beta=90.00 gamma=90.00
Space group Pm-3n (No. 223)
Asymmetric unit:
Lu: 0.000 0.250 0.500 (multiplicity 6)
Ge: 0.000 0.000 0.000 (multiplicity 2)
Ge: 0.000 0.303 0.145 (multiplicity 24)
Os: 0.250 0.250 0.250 (multiplicity 8)

Peak list (10 most intense, 10° ≤ 2θ ≤ 90°, low angle first)
| (hkl) | 2θ/deg | I_rel |
| --- | --- | --- |
| 2 0 0 | 19.69 | 41 |
| 2 2 0 | 27.99 | 21 |
| 2 2 2 | 34.46 | 54 |
| 3 2 0 | 35.91 | 100 |
| 3 2 1 | 37.32 | 39 |
| 4 0 0 | 40.00 | 56 |
| 4 2 0 | 44.96 | 33 |
| 4 2 2 | 49.53 | 47 |
| 4 4 0 | 57.85 | 22 |
| 6 2 2 | 69.10 | 38 |

---

Computed powder X-ray diffraction pattern
Compound: Ce3Ga4Cl
Radiation: Cu Kα (weighted mean of Kα1 and Kα2)
Structure: a crystal structure in the Materials Project, relaxed with PBE
No peak broadening, texture or thermal motion is included.

Atomic structure:
Unit cell a=8.017 b=8.017 c=11.136 alpha=90.00 beta=90.00 gamma=90.00
Space group I4/mcm (No. 140)
Asymmetric unit:
Ce: 0.000 0.000 0.250 (multiplicity 4)
Ce: 0.159 0.341 0.000 (multiplicity 8)
Ga: 0.144 0.356 0.306 (multiplicity 16)
Cl: 0.000 0.000 0.000 (multiplicity 4)

Peak list (10 most intense, 10° ≤ 2θ ≤ 90°, low angle first)
| (hkl) | 2θ/deg | I_rel |
| --- | --- | --- |
| 2 1 1 | 26.11 | 23 |
| 2 0 2 | 27.42 | 16 |
| 0 0 4 | 32.15 | 23 |
| 2 1 3 | 34.79 | 100 |
| 3 1 0 | 35.41 | 68 |
| 3 1 4 | 48.57 | 28 |
| 4 2 0 | 50.97 | 13 |
| 4 1 3 | 53.18 | 13 |
| 2 1 7 | 64.03 | 12 |
| 5 2 3 | 67.83 | 20 |

---

Computed powder X-ray diffraction pattern
Compound: RbIO3
Radiation: Cu Kα (weighted mean of Kα1 and Kα2)
Structure: a crystal structure in the Materials Project, relaxed with PBE
No peak broadening, texture or thermal motion is included.

Atomic structure:
Unit cell a=7.534 b=7.925 c=6.955 alpha=90.00 beta=117.88 gamma=90.00
Space group Cm (No. 8)
Asymmetric unit:
Rb: 0.000 0.000 0.000 (multiplicity 2)
I: 0.143 0.000 0.581 (multiplicity 2)
O: 0.013 0.500 0.080 (multiplicity 2)
O: 0.402 0.138 0.035 (multiplicity 4)

Peak list (10 most intense, 10° ≤ 2θ ≤ 90°, low angle first)
| (hkl) | 2θ/deg | I_rel |
| --- | --- | --- |
| 1 1 0 | 17.39 | 100 |
| 0 2 0 | 22.44 | 49 |
| 2 0 -1 | 23.70 | 27 |
| 1 1 1 | 26.40 | 21 |
| 1 1 -2 | 28.02 | 40 |
| 0 0 2 | 29.05 | 28 |
| 2 2 -2 | 36.88 | 22 |
| 0 2 2 | 37.01 | 22 |
| 1 3 -2 | 43.00 | 29 |
| 4 2 -1 | 55.08 | 21 |

---

Computed powder X-ray diffraction pattern
Compound: K2IrCBr5O
Radiation: Cu Kα (weighted mean of Kα1 and Kα2)
Structure: a crystal structure in the Materials Project, relaxed with PBE
No peak broadening, texture or thermal motion is included.

Atomic structure:
Unit cell a=15.318 b=10.647 c=7.449 alpha=90.00 beta=90.00 gamma=90.00
Space group Pnma (No. 62)
Asymmetric unit:
K: 0.152 0.001 0.150 (multiplicity 8)
Ir: 0.124 0.250 0.700 (multiplicity 4)
C: 0.050 0.750 0.548 (multiplicity 4)
Br: 0.022 0.250 0.968 (multiplicity 4)
Br: 0.123 0.013 0.695 (multiplicity 8)
Br: 0.222 0.250 0.428 (multiplicity 4)
Br: 0.249 0.750 0.398 (multiplicity 4)
O: 0.014 0.250 0.536 (multiplicity 4)

Peak list (10 most intense, 10° ≤ 2θ ≤ 90°, low angle first)
| (hkl) | 2θ/deg | I_rel |
| --- | --- | --- |
| 2 1 0 | 14.25 | 93 |
| 0 1 1 | 14.51 | 70 |
| 2 0 1 | 16.62 | 100 |
| 4 2 0 | 28.72 | 22 |
| 3 0 2 | 29.69 | 25 |
| 1 2 2 | 29.85 | 22 |
| 4 0 2 | 33.57 | 37 |
| 0 4 0 | 33.67 | 46 |
| 5 0 2 | 38.05 | 24 |
| 4 4 2 | 48.28 | 25 |